Structure and theoretical powder XRD pattern of Pm2Pr5DyY (a DFT-relaxed cell (PBE, Alexandria); Cu Kα X-rays).
Kinematic intensities with the Lorentz-polarization factor, no thermal factor.

Main lines, most intense first (15 to 90 degrees two-theta):
2θ/deg	I_rel	hkl
29.54	100	2 0 4
28.99	52	2 2 0
27.89	49	2 1 3
51.73	26	4 2 4
32.50	18	3 1 0
37.61	16	3 2 1
52.75	14	2 2 8
43.05	13	0 0 8
38.20	11	2 0 6
35.26	11	2 1 5

abc: 8.7111 8.7111 16.8098
angles: 90.00 90.00 90.00
Space group I4/mcm (No. 140)
Symmetry-distinct sites (fractional):
Pm (0.1210, 0.3790, 0.0000)
Pr (0.0000, 0.0000, 0.0000)
Pr (0.2168, 0.2832, 0.3573)
Dy (0.0000, 0.0000, 0.2500)
Y (0.0000, 0.5000, 0.2500)